Record 1
This entry pairs a crystal structure of Rb3TbDy3Te8 with its computed powder diffraction line list. Radiation: CuKα. Structure: a PBE-relaxed structure.
Intensities are scaled so that the largest is 1000.

Structural model:
Unit cell a=10.201 b=10.201 c=10.201 alpha=51.28 beta=51.28 gamma=51.28
Fractional coordinates of all 15 atoms:
Rb  0.000  0.500  0.500
Rb  0.500  0.000  0.500
Rb  0.500  0.500  0.000
Tb  0.500  0.500  0.500
Dy  0.000  0.000  0.500
Dy  0.000  0.500  0.000
Dy  0.500  0.000  0.000
Te  0.230  0.735  0.735
Te  0.233  0.233  0.233
Te  0.265  0.265  0.770
Te  0.265  0.770  0.265
Te  0.735  0.230  0.735
Te  0.735  0.735  0.230
Te  0.767  0.767  0.767
Te  0.770  0.265  0.265

The 6 most intense peaks (5° ≤ 2θ ≤ 70°), sorted by position:
d = 8.837 Å, 2θ 10.01, I 453; d = 3.311 Å, 2θ 26.92, I 1000; d = 2.690 Å, 2θ 33.30, I 192; d = 2.504 Å, 2θ 35.86, I 351; d = 2.207 Å, 2θ 40.88, I 406; d = 1.837 Å, 2θ 49.64, I 185

---

Record 2
This entry pairs a crystal structure of Mg17Pb2 with its computed powder diffraction line list. Radiation: CuKα. Structure: a PBE-relaxed structure.
Intensities are scaled so that the largest is 1000.

Structural model:
Unit cell a=7.899 b=7.899 c=7.899 alpha=81.08 beta=81.08 gamma=81.08
Fractional coordinates of all 19 atoms:
Mg  0.000  0.000  0.500
Mg  0.000  0.310  0.690
Mg  0.000  0.500  0.000
Mg  0.000  0.690  0.310
Mg  0.095  0.095  0.095
Mg  0.158  0.656  0.656
Mg  0.310  0.000  0.690
Mg  0.310  0.690  0.000
Mg  0.344  0.344  0.842
Mg  0.344  0.842  0.344
Mg  0.500  0.000  0.000
Mg  0.656  0.158  0.656
Mg  0.656  0.656  0.158
Mg  0.690  0.000  0.310
Mg  0.690  0.310  0.000
Mg  0.842  0.344  0.344
Mg  0.905  0.905  0.905
Pb  0.308  0.308  0.308
Pb  0.692  0.692  0.692

The 6 most intense peaks (5° ≤ 2θ ≤ 70°), sorted by position:
d = 5.876 Å, 2θ 15.08, I 836; d = 5.134 Å, 2θ 17.27, I 741; d = 3.660 Å, 2θ 24.32, I 928; d = 2.964 Å, 2θ 30.15, I 617; d = 2.578 Å, 2θ 34.80, I 1000; d = 2.564 Å, 2θ 34.99, I 978

---

Record 3
This entry pairs a crystal structure of Pm3Al3Si with its computed powder diffraction line list. Radiation: CuKα. Structure: a PBE-relaxed structure.
Intensities are scaled so that the largest is 1000.

Structural model:
Unit cell a=9.942 b=9.942 c=9.942 alpha=155.43 beta=154.82 gamma=35.47
Fractional coordinates of all 7 atoms:
Pm  0.000  0.000  0.000
Pm  0.179  0.679  0.500
Pm  0.369  0.369  0.000
Al  0.544  0.544  0.000
Al  0.747  0.247  0.500
Al  0.823  0.823  0.000
Si  0.617  0.117  0.500

The 6 most intense peaks (5° ≤ 2θ ≤ 70°), sorted by position:
d = 4.225 Å, 2θ 21.03, I 254; d = 3.515 Å, 2θ 25.34, I 675; d = 3.156 Å, 2θ 28.27, I 261; d = 2.884 Å, 2θ 31.01, I 1000; d = 2.852 Å, 2θ 31.37, I 625; d = 1.699 Å, 2θ 53.96, I 269

---

Record 4
This entry pairs a crystal structure of CsGaSnTe3 with its computed powder diffraction line list. Radiation: CuKα. Structure: a PBE-relaxed structure.
Intensities are scaled so that the largest is 1000.

Structural model:
Unit cell a=10.413 b=4.606 c=11.055 alpha=90.00 beta=110.60 gamma=90.00
Fractional coordinates of all 12 atoms:
Cs  0.218  0.250  0.244
Cs  0.782  0.750  0.756
Ga  0.080  0.250  0.626
Ga  0.920  0.750  0.374
Sn  0.341  0.750  0.879
Sn  0.659  0.250  0.121
Te  0.111  0.250  0.868
Te  0.182  0.750  0.551
Te  0.473  0.750  0.162
Te  0.527  0.250  0.838
Te  0.818  0.250  0.449
Te  0.889  0.750  0.132

The 6 most intense peaks (5° ≤ 2θ ≤ 70°), sorted by position:
d = 8.809 Å, 2θ 10.04, I 372; d = 3.440 Å, 2θ 25.90, I 1000; d = 3.348 Å, 2θ 26.63, I 204; d = 2.942 Å, 2θ 30.39, I 211; d = 2.339 Å, 2θ 38.49, I 208; d = 2.303 Å, 2θ 39.11, I 209

---

Record 5
This entry pairs a crystal structure of Pa3B8Os3 with its computed powder diffraction line list. Radiation: CuKα. Structure: a PBE-relaxed structure.
Intensities are scaled so that the largest is 1000.

Structural model:
Unit cell a=7.567 b=7.567 c=7.567 alpha=156.25 beta=98.78 gamma=86.10
Fractional coordinates of all 14 atoms:
Pa  0.000  0.000  0.000
Pa  0.290  0.290  0.000
Pa  0.710  0.710  0.000
B  0.002  0.675  0.326
B  0.098  0.848  0.251
B  0.349  0.675  0.674
B  0.403  0.152  0.251
B  0.597  0.848  0.749
B  0.651  0.325  0.326
B  0.902  0.152  0.749
B  0.998  0.325  0.674
Os  0.275  0.500  0.775
Os  0.500  0.000  0.500
Os  0.725  0.500  0.225

The 6 most intense peaks (5° ≤ 2θ ≤ 70°), sorted by position:
d = 4.925 Å, 2θ 18.01, I 344; d = 2.969 Å, 2θ 30.10, I 294; d = 2.765 Å, 2θ 32.38, I 420; d = 2.560 Å, 2θ 35.05, I 578; d = 2.463 Å, 2θ 36.49, I 441; d = 2.142 Å, 2θ 42.19, I 1000

---

Record 6
This entry pairs a crystal structure of PmSm2F11 with its computed powder diffraction line list. Radiation: CuKα. Structure: a PBE-relaxed structure.
Intensities are scaled so that the largest is 1000.

Structural model:
Unit cell a=8.906 b=8.906 c=8.906 alpha=122.14 beta=108.13 gamma=99.03
Fractional coordinates of all 28 atoms:
Pm  0.250  0.250  0.000
Pm  0.750  0.750  0.000
Sm  0.190  0.660  0.850
Sm  0.310  0.160  0.470
Sm  0.690  0.840  0.530
Sm  0.810  0.340  0.150
F  0.000  0.500  0.500
F  0.028  0.960  0.274
F  0.056  0.336  0.128
F  0.186  0.460  0.932
F  0.191  0.392  0.583
F  0.209  0.929  0.872
F  0.291  0.164  0.720
F  0.309  0.892  0.201
F  0.314  0.246  0.274
F  0.444  0.571  0.280
F  0.472  0.746  0.932
F  0.500  0.000  0.500
F  0.528  0.254  0.068
F  0.556  0.429  0.720
F  0.686  0.754  0.726
F  0.691  0.108  0.799
F  0.709  0.836  0.280
F  0.791  0.071  0.128
F  0.809  0.608  0.417
F  0.814  0.540  0.068
F  0.944  0.664  0.872
F  0.972  0.040  0.726

The 6 most intense peaks (5° ≤ 2θ ≤ 70°), sorted by position:
d = 4.363 Å, 2θ 20.35, I 1000; d = 4.168 Å, 2θ 21.32, I 437; d = 3.877 Å, 2θ 22.94, I 826; d = 3.766 Å, 2θ 23.62, I 667; d = 2.154 Å, 2θ 41.94, I 312; d = 2.069 Å, 2θ 43.74, I 459